(1)
LaTiS3: computed powder X-ray diffraction pattern (CuKα), based on the PBE geometry in the Materials Project.
No peak broadening, texture or thermal motion is included.

Most intense lines, 10° ≤ 2θ ≤ 80°, sorted by position:
two_theta	Rel. int.
22.96	63
23.07	40
24.49	38
29.38	38
33.17	100
35.26	70
35.67	28
36.08	28
37.80	25
41.63	40
46.28	24
48.15	28

Structural model:
Unit cell a=8.0584 b=3.7799 c=13.2486 alpha=90.00 beta=90.00 gamma=90.00
Positions (direct):
La 0.0734 0.2500 0.1703
La 0.4266 0.7500 0.6703
La 0.5734 0.2500 0.3297
La 0.9266 0.7500 0.8297
Ti 0.1507 0.7500 0.4490
Ti 0.3493 0.2500 0.9490
Ti 0.6507 0.7500 0.0510
Ti 0.8493 0.2500 0.5510
S 0.0266 0.7500 0.6119
S 0.1639 0.7500 0.0079
S 0.2073 0.2500 0.7856
S 0.2927 0.7500 0.2856
S 0.3361 0.2500 0.5079
S 0.4734 0.2500 0.1119
S 0.5266 0.7500 0.8881
S 0.6639 0.7500 0.4921
S 0.7073 0.2500 0.7144
S 0.7927 0.7500 0.2144
S 0.8361 0.2500 0.9921
S 0.9734 0.2500 0.3881



(2)
MgTi4Cd2O10: computed powder X-ray diffraction pattern (CuKα), based on the PBE geometry in the Materials Project.
No peak broadening, texture or thermal motion is included.

Most intense lines, 10° ≤ 2θ ≤ 80°, sorted by position:
two_theta	Rel. int.
17.09	29
19.35	27
25.69	87
26.07	100
27.52	36
29.43	43
30.22	74
33.68	69
35.46	57
36.93	33
50.57	36
51.48	28

Structural model:
Unit cell a=5.6913 b=5.6913 c=12.0712 alpha=98.98 beta=98.98 gamma=36.98
Positions (direct):
Mg 0.0000 0.0000 0.0000
Ti 0.3275 0.3275 0.1003
Ti 0.3720 0.3720 0.4563
Ti 0.6280 0.6280 0.5437
Ti 0.6725 0.6725 0.8997
Cd 0.3530 0.3530 0.7336
Cd 0.6470 0.6470 0.2664
O 0.1766 0.1766 0.9676
O 0.1962 0.1962 0.5635
O 0.2635 0.2635 0.2303
O 0.4724 0.4724 0.6017
O 0.4964 0.4964 0.8895
O 0.5036 0.5036 0.1105
O 0.5276 0.5276 0.3983
O 0.7365 0.7365 0.7697
O 0.8038 0.8038 0.4365
O 0.8234 0.8234 0.0324



Q: Number 1 is which compound?
A: LaTiS3